Starting from a crystal structure in OQMD, relaxed with PBE, the powder diffraction line list of Cs2Li3ZrO4 was simulated for Cu Kα, 1.54184 Å.
No peak broadening, texture or thermal motion is included.

Main lines, sorted by position (15 to 90 degrees two-theta):
22.51 deg, I 28; 23.86 deg, I 55; 24.57 deg, I 100; 29.97 deg, I 22; 30.55 deg, I 45; 32.85 deg, I 96; 36.50 deg, I 25; 36.93 deg, I 35; 47.74 deg, I 21; 59.44 deg, I 29

Cell and atoms:
```
Cs2Li3ZrO4
1.0
-2.7131 5.3521 5.8529
2.7131 -5.3521 5.8529
2.7131 5.3521 -5.8529
Cs Li Zr O
4 6 2 8
direct
0.1409 0.1886 0.3295
0.3591 0.6886 0.0477
0.6409 0.3114 0.9523
0.8591 0.8114 0.6705
0.0111 0.2500 0.7611
0.2500 0.2500 0.0000
0.4889 0.2500 0.2389
0.5111 0.7500 0.7611
0.7500 0.7500 0.0000
0.9889 0.7500 0.2389
0.2500 0.7500 0.5000
0.7500 0.2500 0.5000
0.0628 0.4362 0.1231
0.1869 0.0638 0.6266
0.3131 0.9397 0.8769
0.4372 0.5603 0.3734
0.5628 0.4397 0.6266
0.6869 0.0603 0.1231
0.8131 0.9362 0.3734
0.9372 0.5638 0.8769
```

***

Starting from a crystal structure in OQMD, relaxed with PBE, the powder diffraction line list of Si3Ni2Sb2 was simulated for Cu Kα, 1.54184 Å.
No peak broadening, texture or thermal motion is included.

Main lines, sorted by position (15 to 90 degrees two-theta):
29.12 deg, I 75; 31.06 deg, I 65; 35.79 deg, I 92; 44.39 deg, I 19; 44.62 deg, I 100; 47.56 deg, I 31; 56.05 deg, I 16; 58.47 deg, I 21; 76.42 deg, I 19; 82.21 deg, I 16

Cell and atoms:
```
Si3Ni2Sb2
1.0
2.0310 1.1726 8.3504
-2.0310 1.1726 8.3504
0.0000 -2.3452 8.3504
Si Ni Sb
3 2 2
direct
0.0000 0.0000 0.0000
0.2743 0.2743 0.2743
0.7242 0.7242 0.7242
0.3614 0.3614 0.3614
0.8244 0.8244 0.8244
0.1242 0.1242 0.1242
0.5496 0.5496 0.5496
```

***

Starting from a crystal structure in OQMD, relaxed with PBE, the powder diffraction line list of Na5NpS5 was simulated for Cu Kα, 1.54184 Å.
No peak broadening, texture or thermal motion is included.

Main lines, sorted by position (15 to 90 degrees two-theta):
15.33 deg, I 56; 17.76 deg, I 100; 20.10 deg, I 30; 21.18 deg, I 25; 22.62 deg, I 23; 30.95 deg, I 44; 31.50 deg, I 44; 32.89 deg, I 42; 45.79 deg, I 29; 46.16 deg, I 43

Cell and atoms:
```
Na5NpS5
1.0
6.5965 -2.7231 0.0000
6.5965 2.7231 0.0000
-2.4804 0.0000 7.4764
Na Np S
5 1 5
direct
0.0000 0.0000 0.0000
0.3066 0.3066 0.1769
0.3178 0.3178 0.6387
0.6822 0.6822 0.3613
0.6934 0.6934 0.8231
0.0000 0.0000 0.5000
0.1405 0.1405 0.3324
0.1514 0.1514 0.8089
0.5000 0.5000 0.5000
0.8486 0.8486 0.1911
0.8595 0.8595 0.6676
```